Record 1
Theoretical XRD peak list of Li2Pr3Sb3 for λ = 1.5418 Å (Cu Kα), from a crystal structure in Alexandria, relaxed with PBE.

Largest 10 diffraction maxima, sorted by position, 5 to 70 degrees two-theta:
- hkl 1 1 3, 2θ = 27.1°, rel. 54
- hkl 0 4 0, 2θ = 29.9°, rel. 100
- hkl 1 3 1, 2θ = 30.5°, rel. 42
- hkl 1 1 4, 2θ = 31.1°, rel. 100
- hkl 0 2 5, 2θ = 32.1°, rel. 26
- hkl 0 0 6, 2θ = 34.1°, rel. 26
- hkl 1 3 3, 2θ = 34.6°, rel. 64
- hkl 0 4 4, 2θ = 37.8°, rel. 27
- hkl 2 0 0, 2θ = 40.1°, rel. 40
- hkl 2 4 0, 2θ = 50.8°, rel. 26

Structural model:
```
data_Li2Pr3Sb3
_chemical_formula_sum 'Li8 Pr12 Sb12'
_symmetry_space_group_name_H-M 'C m c m'
_symmetry_Int_Tables_number 63
_symmetry_space_group_name_Hall '-C 2c 2'
_cell_length_a 4.5026
_cell_length_b 11.9557
_cell_length_c 15.7661
_cell_angle_alpha 90.00
_cell_angle_beta 90.00
_cell_angle_gamma 90.00
loop_
_atom_site_label
_atom_site_type_symbol
_atom_site_fract_x
_atom_site_fract_y
_atom_site_fract_z
Li1 Li 0.0000 0.2290 0.0939
Pr1 Pr 0.0000 0.0717 0.6068
Pr2 Pr 0.0000 0.3599 0.7500
Sb1 Sb 0.0000 0.3505 0.2500
Sb2 Sb 0.0000 0.3738 0.5494
```



Record 2
Theoretical XRD peak list of Tl5In for λ = 1.5418 Å (Cu Kα), from a crystal structure in Alexandria, relaxed with PBE.

Largest 10 diffraction maxima, sorted by position, 5 to 70 degrees two-theta:
- hkl 0 0 1, 2θ = 5.2°, rel. 5
- hkl 1 0 0, 2θ = 29.4°, rel. 24
- hkl 0 0 6, 2θ = 31.5°, rel. 26
- hkl 1 0 3, 2θ = 33.5°, rel. 100
- hkl 1 0 6, 2θ = 43.7°, rel. 16
- hkl 1 1 0, 2θ = 52.2°, rel. 19
- hkl 1 0 9, 2θ = 57.4°, rel. 21
- hkl 1 1 6, 2θ = 62.3°, rel. 23
- hkl 2 0 3, 2θ = 63.5°, rel. 16
- hkl 0 0 12, 2θ = 65.8°, rel. 3

Structural model:
```
data_Tl5In
_chemical_formula_sum 'Tl5 In1'
_symmetry_space_group_name_H-M 'P -6 m 2'
_symmetry_Int_Tables_number 187
_symmetry_space_group_name_Hall 'P -6 2'
_cell_length_a 3.5040
_cell_length_b 3.5040
_cell_length_c 17.0316
_cell_angle_alpha 90.00
_cell_angle_beta 90.00
_cell_angle_gamma 120.00
loop_
_atom_site_label
_atom_site_type_symbol
_atom_site_fract_x
_atom_site_fract_y
_atom_site_fract_z
Tl1 Tl 0.0000 0.0000 0.0000
Tl2 Tl 0.0000 0.0000 0.3378
Tl3 Tl 0.3333 0.6667 0.1670
In1 In 0.3333 0.6667 0.5000
```